Theoretical X-ray powder pattern
Compound: NaNd3Ti3MnO12
Radiation: Cu Kα (weighted mean of Kα1 and Kα2)
Structure: a cell relaxed with PBE+U
Lines closer than 0.1° are merged.

Main lines, low angle first (10 to 90 degrees two-theta):
(hkl), 2θ/deg, intensity
-1 1 1, 25.24, 25.8
0 2 0, 31.40, 28.5
1 1 2, 31.96, 33.7
1 1 -2, 32.14, 100.0
2 0 0, 32.60, 33.2
3 1 -2, 57.91, 22.6

Atomic structure:
a b c (Å): 5.494 5.698 7.867
angles (deg): 89.72 89.81 89.71
Fractional coordinates of all 20 atoms:
Na1 0.000 0.000 0.000
Nd1 0.011 0.087 0.518
Nd2 0.488 0.581 0.515
Nd3 0.516 0.464 0.002
Ti1 0.014 0.545 0.262
Ti2 0.528 0.021 0.247
Ti3 0.999 0.534 0.773
Mn1 0.500 0.022 0.766
O1 0.083 0.554 0.012
O2 0.190 0.803 0.698
O3 0.202 0.808 0.314
O4 0.278 0.324 0.306
O5 0.281 0.334 0.711
O6 0.412 0.057 0.027
O7 0.588 0.000 0.493
O8 0.693 0.721 0.216
O9 0.697 0.703 0.792
O10 0.779 0.237 0.215
O11 0.807 0.249 0.796
O12 0.910 0.503 0.498

Theoretical X-ray powder pattern
Compound: NaNdMnWO6
Radiation: Cu Kα (weighted mean of Kα1 and Kα2)
Structure: a cell relaxed with PBE+U
Lines closer than 0.1° are merged.

Main lines, low angle first (10 to 90 degrees two-theta):
(hkl), 2θ/deg, intensity
0 0 1, 10.96, 28.0
1 1 1, 24.90, 25.9
0 2 0, 31.35, 25.2
1 1 -2, 31.54, 100.0
2 0 0, 32.09, 24.3
2 2 0, 45.47, 24.9

Atomic structure:
a b c (Å): 5.579 5.707 8.070
angles (deg): 90.00 90.14 90.00
Fractional coordinates of all 20 atoms:
Na1 0.249 0.000 0.499
Na2 0.751 0.500 0.501
Nd1 0.238 0.919 0.999
Nd2 0.762 0.419 0.001
Mn1 0.251 0.467 0.739
Mn2 0.749 0.967 0.261
W1 0.259 0.474 0.259
W2 0.741 0.974 0.741
O1 0.024 0.173 0.811
O2 0.058 0.204 0.187
O3 0.169 0.439 0.481
O4 0.345 0.504 0.008
O5 0.420 0.771 0.283
O6 0.451 0.800 0.724
O7 0.549 0.300 0.276
O8 0.580 0.271 0.717
O9 0.655 0.004 0.992
O10 0.831 0.939 0.519
O11 0.942 0.704 0.813
O12 0.976 0.673 0.189